# BiIr7
Calculated powder X-ray diffraction pattern, Cu Ka. Input: a cell relaxed with PBE.
Intensities are scaled so that the largest is 100.

Structure:
```
BiIr7
1.0
2.809 0.000 0.000
0.000 3.847 0.000
0.000 0.000 35.553
Bi Ir
2 14
Cartesian
0.702 0.962 7.204
2.107 2.885 28.350
0.702 0.962 10.304
0.702 0.962 13.010
0.702 0.962 15.721
0.702 0.962 18.461
0.702 0.962 21.179
0.702 0.962 23.916
0.702 0.962 26.646
2.107 2.885 8.908
2.107 2.885 11.637
2.107 2.885 14.374
2.107 2.885 17.092
2.107 2.885 19.832
2.107 2.885 22.543
2.107 2.885 25.250
```

Main lines, in order of rising 2θ (2θ = 10–80°):
two_theta  intensity
38.3  22.2
39.8  100.0
40.5  61.8
42.7  12.8
44.4  14.7
46.3  41.9
47.3  30.8
66.6  11.2
66.9  10.6
68.3  26.7

=====

# LaPrBi4Ir2
Calculated powder X-ray diffraction pattern, Cu Ka. Input: a cell relaxed with PBE.
Intensities are scaled so that the largest is 100.

Structure:
```
LaPrBi4Ir2
1.0
4.615 0.000 0.000
0.000 4.615 0.000
0.000 0.000 10.018
La Pr Bi Ir
1 1 4 2
Cartesian
0.000 0.000 0.000
2.308 2.308 5.413
0.000 0.000 6.087
0.000 2.308 2.730
2.308 0.000 2.730
2.308 2.308 9.328
0.000 2.308 7.726
2.308 0.000 7.726
```

Main lines, in order of rising 2θ (2θ = 10–80°):
two_theta  intensity
26.3  10.1
26.7  8.2
32.8  100.0
38.6  9.6
39.0  44.4
45.7  16.7
54.0  9.8
56.4  15.5
66.8  26.5
75.4  8.0

=====

# Li4BiIr2Pb
Calculated powder X-ray diffraction pattern, Cu Ka. Input: a cell relaxed with PBE.
Intensities are scaled so that the largest is 100.

Structure:
```
Li4BiIr2Pb
1.0
4.539 0.000 0.000
0.000 4.539 0.000
0.000 0.000 6.399
Li Bi Ir Pb
4 1 2 1
Cartesian
0.000 0.000 0.000
0.000 2.269 4.778
2.269 0.000 1.622
2.269 2.269 3.200
2.269 2.269 0.000
0.000 2.269 1.578
2.269 0.000 4.822
0.000 0.000 3.200
```

Main lines, in order of rising 2θ (2θ = 10–80°):
two_theta  intensity
24.0  100.0
39.8  91.7
47.0  34.7
47.1  17.2
57.4  10.7
57.6  5.3
63.2  21.8
72.1  21.9
72.3  10.9
77.3  12.5

=====

# LiTa3Bi4Ir4
Calculated powder X-ray diffraction pattern, Cu Ka. Input: a cell relaxed with PBE.
Intensities are scaled so that the largest is 100.

Structure:
```
LiTa3Bi4Ir4
1.0
-3.187 3.187 6.317
3.187 -3.187 6.317
3.187 3.187 -6.317
Li Ta Bi Ir
1 3 4 4
Cartesian
0.000 0.000 0.000
3.187 0.000 3.158
0.000 0.000 6.317
0.000 3.187 3.158
3.187 0.000 0.000
0.000 0.000 2.910
0.000 3.187 0.000
0.000 0.000 9.724
1.463 -1.463 4.648
1.724 1.724 1.668
-1.463 1.463 4.648
1.463 1.463 7.985
```

Main lines, in order of rising 2θ (2θ = 10–80°):
two_theta  intensity
15.6  8.8
24.3  55.2
28.0  12.6
38.1  9.5
40.0  52.5
40.2  100.0
47.3  16.8
57.9  17.3
72.8  32.8
73.2  14.5

=====

# LuTaBi2Ir2
Calculated powder X-ray diffraction pattern, Cu Ka. Input: a cell relaxed with PBE.
Intensities are scaled so that the largest is 100.

Structure:
```
LuTaBi2Ir2
1.0
4.585 0.000 0.000
0.000 9.142 0.000
0.000 0.000 6.465
Lu Ta Bi Ir
2 2 4 4
Cartesian
0.000 1.153 0.000
2.293 7.989 3.233
0.000 5.674 6.327
2.293 3.468 3.095
0.000 1.113 3.269
0.000 5.763 3.033
2.293 3.378 6.265
2.293 8.029 0.037
0.000 3.569 4.645
0.000 7.815 4.926
2.293 1.327 1.693
2.293 5.573 1.412
```

Main lines, in order of rising 2θ (2θ = 10–80°):
two_theta  intensity
23.8  32.9
27.6  19.0
39.4  100.0
39.4  19.5
46.5  13.0
56.9  19.6
62.6  4.4
64.4  6.9
71.3  14.2
71.5  24.1

=====

# MgTa2Bi3Ir3
Calculated powder X-ray diffraction pattern, Cu Ka. Input: a cell relaxed with PBE.
Intensities are scaled so that the largest is 100.

Structure:
```
MgTa2Bi3Ir3
1.0
3.910 -6.772 0.000
3.910 6.772 0.000
-2.611 0.000 7.355
Mg Ta Bi Ir
2 4 6 6
Cartesian
2.605 5.584 3.677
3.910 -5.584 0.000
1.302 3.349 7.285
2.567 1.131 3.607
1.262 -1.131 7.284
2.607 -3.349 3.607
-0.177 1.085 5.520
1.129 -1.085 1.842
3.941 3.308 5.428
5.310 1.014 1.765
4.004 -1.014 5.443
5.246 -3.308 1.750
0.071 1.304 2.820
-1.234 -1.304 6.498
3.976 3.229 2.634
2.433 1.129 6.317
3.738 -1.129 2.640
2.670 -3.229 6.311
```

Main lines, in order of rising 2θ (2θ = 10–80°):
two_theta  intensity
13.7  3.9
24.1  29.6
24.2  10.0
28.0  10.7
40.0  100.0
47.2  14.8
57.8  16.3
63.5  4.3
72.6  23.1
72.7  8.6

=====

Copy entry 6 word for word.
# MgTa2Bi3Ir3
Calculated powder X-ray diffraction pattern, Cu Ka. Input: a cell relaxed with PBE.
Intensities are scaled so that the largest is 100.

Structure:
```
MgTa2Bi3Ir3
1.0
3.910 -6.772 0.000
3.910 6.772 0.000
-2.611 0.000 7.355
Mg Ta Bi Ir
2 4 6 6
Cartesian
2.605 5.584 3.677
3.910 -5.584 0.000
1.302 3.349 7.285
2.567 1.131 3.607
1.262 -1.131 7.284
2.607 -3.349 3.607
-0.177 1.085 5.520
1.129 -1.085 1.842
3.941 3.308 5.428
5.310 1.014 1.765
4.004 -1.014 5.443
5.246 -3.308 1.750
0.071 1.304 2.820
-1.234 -1.304 6.498
3.976 3.229 2.634
2.433 1.129 6.317
3.738 -1.129 2.640
2.670 -3.229 6.311
```

Main lines, in order of rising 2θ (2θ = 10–80°):
two_theta  intensity
13.7  3.9
24.1  29.6
24.2  10.0
28.0  10.7
40.0  100.0
47.2  14.8
57.8  16.3
63.5  4.3
72.6  23.1
72.7  8.6